No. 1
RbPr2Se3: calculated X-ray powder pattern (copper Kα), based on a DFT-relaxed cell (PBE, Alexandria).
No peak broadening, texture or thermal motion is included.

Atomic structure:
abc: 4.3291 4.3291 23.2031
angles: 90.00 90.00 120.00
Element x y z (fractional)
Rb1 0.0000 0.0000 0.2500
Rb2 0.0000 0.0000 0.7500
Pr1 0.3333 0.6667 0.0758
Pr2 0.3333 0.6667 0.4242
Pr3 0.6667 0.3333 0.5758
Pr4 0.6667 0.3333 0.9242
Se1 0.0000 0.0000 0.0000
Se2 0.0000 0.0000 0.5000
Se3 0.3333 0.6667 0.6468
Se4 0.3333 0.6667 0.8532
Se5 0.6667 0.3333 0.1468
Se6 0.6667 0.3333 0.3532

The 6 most intense peaks (2θ from 15° to 90°), by intensity:
| d (Å) | I_rel |
| --- | --- |
| 3.149 | 100 |
| 2.916 | 96 |
| 2.165 | 81 |
| 2.125 | 56 |
| 3.374 | 55 |
| 2.294 | 30 |

***

No. 2
Rb2Pr2USe6: calculated X-ray powder pattern (copper Kα), based on a DFT-relaxed cell (PBE, Alexandria).
No peak broadening, texture or thermal motion is included.

Atomic structure:
abc: 7.4553 7.4553 8.5648
angles: 98.61 98.61 119.55
Element x y z (fractional)
Rb1 0.1702 0.8298 0.0000
Rb2 0.8298 0.1702 0.0000
Pr1 0.3336 0.6664 0.5000
Pr2 0.6664 0.3336 0.5000
U1 0.0000 0.0000 0.5000
Se1 0.0657 0.3856 0.6946
Se2 0.2502 0.2502 0.3064
Se3 0.3856 0.0657 0.6946
Se4 0.6144 0.9343 0.3054
Se5 0.7498 0.7498 0.6936
Se6 0.9343 0.6144 0.3054

The 6 most intense peaks (2θ from 15° to 90°), by intensity:
| d (Å) | I_rel |
| --- | --- |
| 3.181 | 100 |
| 2.370 | 50 |
| 3.209 | 50 |
| 2.162 | 36 |
| 2.550 | 21 |
| 1.915 | 20 |

***

No. 3
Rb3Pr2YSe6: calculated X-ray powder pattern (copper Kα), based on a DFT-relaxed cell (PBE, Alexandria).
No peak broadening, texture or thermal motion is included.

Atomic structure:
abc: 7.5432 7.5432 8.4084
angles: 98.61 98.61 120.00
Element x y z (fractional)
Rb1 0.0000 0.0000 0.0000
Rb2 0.3318 0.6682 0.0000
Rb3 0.6682 0.3318 0.0000
Pr1 0.1665 0.8335 0.5000
Pr2 0.8335 0.1665 0.5000
Y1 0.5000 0.5000 0.5000
Se1 0.1090 0.4333 0.3001
Se2 0.2426 0.2426 0.7003
Se3 0.4333 0.1090 0.3001
Se4 0.5667 0.8910 0.6999
Se5 0.7574 0.7574 0.2997
Se6 0.8910 0.5667 0.6999

The 6 most intense peaks (2θ from 15° to 90°), by intensity:
| d (Å) | I_rel |
| --- | --- |
| 3.196 | 100 |
| 2.178 | 36 |
| 2.352 | 34 |
| 1.799 | 18 |
| 1.387 | 15 |
| 1.475 | 10 |